Diffraction record for Ba2SmMgCu3O7. The X-ray diffraction stick pattern is computed, not measured: it uses a cell relaxed with GGA-PBE and Cu Kα (weighted mean of Kα1 and Kα2).

Structure:
```
14
Lattice="3.7549 0.0000 0.0000 0.0000 4.0019 0.0000 0.0000 0.0000 14.5861" Properties=species:S:1:pos:R:3 pbc="T T T"
Ba 0.0000 0.0000 0.0000
Ba 0.0000 0.0000 4.5579
Sm 0.0000 0.0000 8.3090
Mg 0.0000 2.0009 11.8641
Cu 1.8775 2.0009 2.1898
Cu 1.8775 2.0009 6.5730
Cu 1.8775 2.0009 9.8217
O 0.0000 2.0009 1.5185
O 0.0000 2.0009 6.9677
O 0.0000 2.0009 9.9265
O 1.8775 0.0000 6.6969
O 1.8775 0.0000 9.7398
O 1.8775 2.0009 4.1354
O 1.8775 2.0009 12.8369
```

Peak list (10 most intense, 10° ≤ 2θ ≤ 80°, by angle)
h k l, two_theta, intensity
0 0 2, 12.14, 37
0 1 3, 28.90, 75
1 0 3, 30.07, 42
1 1 0, 32.70, 100
0 1 4, 33.25, 74
1 0 4, 34.28, 76
1 1 3, 37.70, 33
0 2 0, 45.32, 38
1 1 7, 55.39, 52
1 2 4, 58.03, 32

---

Diffraction record for Ba2SmMgCu3O7. The X-ray diffraction stick pattern is computed, not measured: it uses a cell relaxed with GGA-PBE and Cu Kα (weighted mean of Kα1 and Kα2).

Structure:
```
14
Lattice="3.7309 0.0000 0.0000 0.0000 3.9934 0.0000 0.0000 0.0000 14.0252" Properties=species:S:1:pos:R:3 pbc="T T T"
Ba 0.0000 0.0000 0.0000
Ba 0.0000 0.0000 6.5725
Sm 0.0000 0.0000 10.3785
Mg 0.0000 1.9967 2.6332
Cu 1.8655 1.9967 4.5021
Cu 1.8655 1.9967 8.6722
Cu 1.8655 1.9967 12.0391
O 0.0000 1.9967 9.1416
O 0.0000 1.9967 12.1848
O 1.8655 0.0000 4.0132
O 1.8655 0.0000 8.8980
O 1.8655 0.0000 12.0216
O 1.8655 1.9967 1.4732
O 1.8655 1.9967 6.4404
```

Peak list (10 most intense, 10° ≤ 2θ ≤ 80°, by angle)
h k l, two_theta, intensity
0 1 3, 29.42, 39
1 0 3, 30.66, 37
1 1 0, 32.85, 100
0 1 4, 34.03, 96
1 0 4, 35.12, 97
0 2 0, 45.42, 38
2 0 0, 48.82, 31
1 1 7, 57.04, 24
1 2 4, 58.68, 42
2 1 4, 60.84, 35

---

Diffraction record for Ba2SmMgCu3O7. The X-ray diffraction stick pattern is computed, not measured: it uses a cell relaxed with GGA-PBE and Cu Kα (weighted mean of Kα1 and Kα2).

Structure:
```
14
Lattice="3.7814 0.0000 0.0000 0.0000 13.1789 0.0000 0.0000 0.0000 4.1640" Properties=species:S:1:pos:R:3 pbc="T T T"
Ba 0.0000 2.9996 0.0000
Ba 0.0000 10.1794 0.0000
Sm 0.0000 6.5895 3.9601
Mg 0.0000 0.0000 3.0153
Cu 1.8907 0.0000 1.3866
Cu 1.8907 5.0824 1.9037
Cu 1.8907 8.0965 1.9037
O 0.0000 5.0950 1.8708
O 0.0000 8.0840 1.8708
O 1.8907 0.0000 3.5863
O 1.8907 1.8992 1.6062
O 1.8907 5.0607 3.9744
O 1.8907 8.1183 3.9744
O 1.8907 11.2797 1.6062
```

Peak list (10 most intense, 10° ≤ 2θ ≤ 80°, by angle)
h k l, two_theta, intensity
0 3 1, 29.56, 46
1 3 0, 31.21, 48
1 0 1, 31.97, 100
0 4 1, 34.72, 66
1 4 0, 36.16, 55
1 4 1, 42.37, 29
2 0 0, 48.13, 30
1 7 0, 54.46, 29
1 4 2, 57.78, 29
2 4 1, 60.70, 25

---

> Number 1 is which compound?

Ba2SmMgCu3O7

---

Please write out number 3 again, unchanged.
Diffraction record for Ba2SmMgCu3O7. The X-ray diffraction stick pattern is computed, not measured: it uses a cell relaxed with GGA-PBE and Cu Kα (weighted mean of Kα1 and Kα2).

Structure:
```
14
Lattice="3.7814 0.0000 0.0000 0.0000 13.1789 0.0000 0.0000 0.0000 4.1640" Properties=species:S:1:pos:R:3 pbc="T T T"
Ba 0.0000 2.9996 0.0000
Ba 0.0000 10.1794 0.0000
Sm 0.0000 6.5895 3.9601
Mg 0.0000 0.0000 3.0153
Cu 1.8907 0.0000 1.3866
Cu 1.8907 5.0824 1.9037
Cu 1.8907 8.0965 1.9037
O 0.0000 5.0950 1.8708
O 0.0000 8.0840 1.8708
O 1.8907 0.0000 3.5863
O 1.8907 1.8992 1.6062
O 1.8907 5.0607 3.9744
O 1.8907 8.1183 3.9744
O 1.8907 11.2797 1.6062
```

Peak list (10 most intense, 10° ≤ 2θ ≤ 80°, by angle)
h k l, two_theta, intensity
0 3 1, 29.56, 46
1 3 0, 31.21, 48
1 0 1, 31.97, 100
0 4 1, 34.72, 66
1 4 0, 36.16, 55
1 4 1, 42.37, 29
2 0 0, 48.13, 30
1 7 0, 54.46, 29
1 4 2, 57.78, 29
2 4 1, 60.70, 25